Entry 1:
The following is a calculated X-ray diffraction stick pattern of Ti2IrPd3. It was derived from a DFT-relaxed cell (GGA-PBE, Alexandria), using λ = 1.5418 Å (Cu Kα).
Peak positions follow from Bragg's law for the DFT cell and can differ from measured ones.

Cell and atoms:
a b c (Å): 7.696 7.696 7.696
angles (deg): 138.62 59.84 138.78
Positions (direct):
Ti1 0.130 0.227 0.357
Ti2 0.370 0.727 0.096
Ti3 0.630 0.273 0.904
Ti4 0.870 0.773 0.643
Ir1 0.250 0.250 0.000
Ir2 0.750 0.750 0.000
Pd1 0.180 0.713 0.892
Pd2 0.250 0.750 0.500
Pd3 0.320 0.213 0.533
Pd4 0.680 0.787 0.467
Pd5 0.750 0.250 0.500
Pd6 0.820 0.287 0.108

Peak list (10 most intense, 10 to 90 degrees two-theta, low angle first)
2θ 13.27, intensity 48; 2θ 26.76, intensity 18; 2θ 35.65, intensity 100; 2θ 35.77, intensity 75; 2θ 40.57, intensity 35; 2θ 42.91, intensity 42; 2θ 43.01, intensity 43; 2θ 47.36, intensity 58; 2θ 64.09, intensity 33; 2θ 65.72, intensity 21


Entry 2:
The following is a calculated X-ray diffraction stick pattern of Er5Pu. It was derived from a DFT-relaxed cell (GGA-PBE, Alexandria), using λ = 1.5418 Å (Cu Kα).
Peak positions follow from Bragg's law for the DFT cell and can differ from measured ones.

Cell and atoms:
a b c (Å): 6.614 6.614 8.283
angles (deg): 103.40 103.40 30.98
Positions (direct):
Er1 0.000 0.000 0.000
Er2 0.053 0.053 0.605
Er3 0.333 0.333 0.661
Er4 0.670 0.670 0.331
Er5 0.723 0.723 0.944
Pu1 0.392 0.392 0.276

Peak list (10 most intense, 10 to 90 degrees two-theta, low angle first)
2θ 29.22, intensity 24; 2θ 31.98, intensity 25; 2θ 33.41, intensity 100; 2θ 43.87, intensity 16; 2θ 51.82, intensity 20; 2θ 57.91, intensity 21; 2θ 62.20, intensity 23; 2θ 63.03, intensity 11; 2θ 85.98, intensity 9; 2θ 89.37, intensity 9


Entry 3:
The following is a calculated X-ray diffraction stick pattern of AcP3Pt3. It was derived from a DFT-relaxed cell (GGA-PBE, Alexandria), using λ = 1.5418 Å (Cu Kα).
Peak positions follow from Bragg's law for the DFT cell and can differ from measured ones.

Cell and atoms:
a b c (Å): 6.608 6.608 6.608
angles (deg): 90.00 90.00 90.00
Positions (direct):
Ac1 0.000 0.000 0.000
Ac2 0.500 0.500 0.500
P1 0.000 0.250 0.500
P2 0.000 0.750 0.500
P3 0.250 0.500 0.000
P4 0.500 0.000 0.250
P5 0.500 0.000 0.750
P6 0.750 0.500 0.000
Pt1 0.000 0.500 0.250
Pt2 0.000 0.500 0.750
Pt3 0.250 0.000 0.500
Pt4 0.500 0.250 0.000
Pt5 0.500 0.750 0.000
Pt6 0.750 0.000 0.500

Peak list (10 most intense, 10 to 90 degrees two-theta, low angle first)
2θ 26.99, intensity 43; 2θ 30.24, intensity 67; 2θ 33.21, intensity 100; 2θ 49.75, intensity 18; 2θ 51.76, intensity 58; 2θ 55.64, intensity 23; 2θ 62.90, intensity 16; 2θ 64.64, intensity 16; 2θ 79.43, intensity 17; 2θ 82.59, intensity 15


Entry 4:
The following is a calculated X-ray diffraction stick pattern of LaPr4P5. It was derived from a DFT-relaxed cell (GGA-PBE, Alexandria), using λ = 1.5418 Å (Cu Kα).
Peak positions follow from Bragg's law for the DFT cell and can differ from measured ones.

Cell and atoms:
a b c (Å): 7.303 7.303 10.335
angles (deg): 118.13 118.13 33.60
Positions (direct):
La1 0.000 0.000 0.000
Pr1 0.200 0.200 0.799
Pr2 0.400 0.400 0.599
Pr3 0.600 0.600 0.401
Pr4 0.800 0.800 0.201
P1 0.000 0.000 0.500
P2 0.200 0.200 0.301
P3 0.399 0.399 0.101
P4 0.601 0.601 0.899
P5 0.800 0.800 0.699

Peak list (10 most intense, 10 to 90 degrees two-theta, low angle first)
2θ 25.86, intensity 77; 2θ 29.95, intensity 100; 2θ 42.87, intensity 74; 2θ 50.75, intensity 39; 2θ 53.16, intensity 19; 2θ 62.24, intensity 12; 2θ 68.54, intensity 13; 2θ 70.60, intensity 33; 2θ 78.52, intensity 19; 2θ 84.34, intensity 10


Entry 5:
The following is a calculated X-ray diffraction stick pattern of Ba3ZnIrRuO9. It was derived from a DFT-relaxed cell (GGA-PBE, Alexandria), using λ = 1.5418 Å (Cu Kα).
Peak positions follow from Bragg's law for the DFT cell and can differ from measured ones.

Cell and atoms:
a b c (Å): 5.852 5.852 14.398
angles (deg): 90.00 90.00 120.00
Positions (direct):
Ba1 0.000 0.000 0.249
Ba2 0.000 0.000 0.751
Ba3 0.333 0.667 0.586
Ba4 0.333 0.667 0.915
Ba5 0.667 0.333 0.085
Ba6 0.667 0.333 0.414
Zn1 0.000 0.000 0.000
Zn2 0.000 0.000 0.500
Ir1 0.333 0.667 0.159
Ir2 0.667 0.333 0.841
Ru1 0.333 0.667 0.343
Ru2 0.667 0.333 0.657
O1 0.026 0.513 0.250
O2 0.172 0.343 0.084
O3 0.172 0.344 0.416
O4 0.172 0.828 0.084
O5 0.172 0.828 0.416
O6 0.343 0.172 0.916
O7 0.344 0.172 0.584
O8 0.487 0.513 0.250
O9 0.487 0.974 0.250
O10 0.513 0.026 0.750
O11 0.513 0.487 0.750
O12 0.656 0.828 0.416
O13 0.657 0.828 0.084
O14 0.828 0.172 0.584
O15 0.828 0.172 0.916
O16 0.828 0.656 0.584
O17 0.828 0.657 0.916
O18 0.974 0.487 0.750

Peak list (10 most intense, 10 to 90 degrees two-theta, low angle first)
2θ 18.56, intensity 14; 2θ 25.56, intensity 11; 2θ 30.52, intensity 100; 2θ 35.87, intensity 19; 2θ 43.68, intensity 20; 2θ 47.78, intensity 17; 2θ 54.27, intensity 26; 2θ 57.78, intensity 15; 2θ 63.60, intensity 12; 2θ 88.37, intensity 11


Entry 6:
The following is a calculated X-ray diffraction stick pattern of ZrTeP2O. It was derived from a DFT-relaxed cell (GGA-PBE, Alexandria), using λ = 1.5418 Å (Cu Kα).
Peak positions follow from Bragg's law for the DFT cell and can differ from measured ones.

Cell and atoms:
a b c (Å): 5.251 5.251 3.971
angles (deg): 90.00 90.00 90.00
Positions (direct):
Zr1 0.000 0.000 0.000
Te1 0.500 0.500 0.500
P1 0.000 0.500 0.000
P2 0.500 0.000 0.000
O1 0.000 0.000 0.500

Peak list (10 most intense, 10 to 90 degrees two-theta, low angle first)
2θ 23.97, intensity 55; 2θ 28.17, intensity 100; 2θ 33.03, intensity 20; 2θ 34.15, intensity 66; 2θ 44.84, intensity 56; 2θ 45.70, intensity 14; 2θ 49.07, intensity 23; 2θ 58.26, intensity 26; 2θ 68.64, intensity 16; 2θ 69.29, intensity 15


Entry 7:
The following is a calculated X-ray diffraction stick pattern of PrSm2Dy9. It was derived from a DFT-relaxed cell (GGA-PBE, Alexandria), using λ = 1.5418 Å (Cu Kα).
Peak positions follow from Bragg's law for the DFT cell and can differ from measured ones.

Cell and atoms:
a b c (Å): 11.292 11.292 3.522
angles (deg): 90.00 90.00 120.00
Positions (direct):
Pr1 0.000 0.000 0.000
Sm1 0.333 0.667 0.000
Sm2 0.667 0.333 0.000
Dy1 0.000 0.500 0.000
Dy2 0.177 0.353 0.500
Dy3 0.177 0.823 0.500
Dy4 0.353 0.177 0.500
Dy5 0.500 0.000 0.000
Dy6 0.500 0.500 0.000
Dy7 0.647 0.823 0.500
Dy8 0.823 0.177 0.500
Dy9 0.823 0.647 0.500

Peak list (10 most intense, 10 to 90 degrees two-theta, low angle first)
2θ 29.90, intensity 24; 2θ 31.30, intensity 55; 2θ 31.70, intensity 100; 2θ 35.20, intensity 19; 2θ 37.60, intensity 14; 2θ 45.15, intensity 19; 2θ 56.21, intensity 19; 2θ 56.46, intensity 18; 2θ 62.12, intensity 29; 2θ 80.25, intensity 13


Entry 8:
The following is a calculated X-ray diffraction stick pattern of Na3Li. It was derived from a DFT-relaxed cell (GGA-PBE, Alexandria), using λ = 1.5418 Å (Cu Kα).
Peak positions follow from Bragg's law for the DFT cell and can differ from measured ones.

Cell and atoms:
a b c (Å): 6.935 6.935 6.935
angles (deg): 150.61 61.92 126.83
Positions (direct):
Na1 0.000 0.000 0.000
Na2 0.414 0.653 0.761
Na3 0.892 0.653 0.239
Li1 0.487 0.987 0.500

Peak list (10 most intense, 10 to 90 degrees two-theta, low angle first)
2θ 16.11, intensity 18; 2θ 28.76, intensity 16; 2θ 29.17, intensity 23; 2θ 30.05, intensity 39; 2θ 32.54, intensity 46; 2θ 32.91, intensity 100; 2θ 42.38, intensity 15; 2θ 51.22, intensity 17; 2θ 55.21, intensity 21; 2θ 60.53, intensity 21


Entry 9:
The following is a calculated X-ray diffraction stick pattern of Cu4Ni4Pt. It was derived from a DFT-relaxed cell (GGA-PBE, Alexandria), using λ = 1.5418 Å (Cu Kα).
Peak positions follow from Bragg's law for the DFT cell and can differ from measured ones.

Cell and atoms:
a b c (Å): 5.742 5.742 5.742
angles (deg): 95.59 95.59 143.62
Positions (direct):
Cu1 0.000 0.335 0.335
Cu2 0.000 0.665 0.665
Cu3 0.335 0.000 0.335
Cu4 0.665 0.000 0.665
Ni1 0.330 0.330 0.660
Ni2 0.330 0.670 0.000
Ni3 0.670 0.330 0.000
Ni4 0.670 0.670 0.340
Pt1 0.000 0.000 0.000

Peak list (10 most intense, 10 to 90 degrees two-theta, low angle first)
2θ 16.25, intensity 13; 2θ 23.06, intensity 7; 2θ 27.43, intensity 11; 2θ 36.13, intensity 9; 2θ 43.30, intensity 100; 2θ 50.17, intensity 32; 2θ 50.95, intensity 15; 2θ 73.67, intensity 9; 2θ 74.30, intensity 18; 2θ 89.49, intensity 23


Entry 10:
The following is a calculated X-ray diffraction stick pattern of Pm5Sm5Ge6. It was derived from a DFT-relaxed cell (GGA-PBE, Alexandria), using λ = 1.5418 Å (Cu Kα).
Peak positions follow from Bragg's law for the DFT cell and can differ from measured ones.

Cell and atoms:
a b c (Å): 6.631 8.750 8.750
angles (deg): 119.96 90.00 90.00
Positions (direct):
Pm1 0.000 0.000 0.000
Pm2 0.000 0.245 0.489
Pm3 0.000 0.489 0.245
Pm4 0.500 0.000 0.245
Pm5 0.500 0.245 0.000
Sm1 0.250 0.578 0.912
Sm2 0.250 0.912 0.578
Sm3 0.500 0.490 0.490
Sm4 0.750 0.578 0.912
Sm5 0.750 0.912 0.578
Ge1 0.000 0.245 0.851
Ge2 0.000 0.639 0.639
Ge3 0.000 0.851 0.245
Ge4 0.500 0.246 0.638
Ge5 0.500 0.638 0.246
Ge6 0.500 0.851 0.851

Peak list (10 most intense, 10 to 90 degrees two-theta, low angle first)
2θ 23.47, intensity 14; 2θ 29.40, intensity 32; 2θ 31.22, intensity 40; 2θ 33.92, intensity 92; 2θ 34.09, intensity 100; 2θ 35.53, intensity 44; 2θ 49.94, intensity 25; 2θ 52.27, intensity 30; 2θ 54.56, intensity 14; 2θ 55.89, intensity 22


Entry 11:
The following is a calculated X-ray diffraction stick pattern of Sr2CdP2N6. It was derived from a DFT-relaxed cell (GGA-PBE, Alexandria), using λ = 1.5418 Å (Cu Kα).
Peak positions follow from Bragg's law for the DFT cell and can differ from measured ones.

Cell and atoms:
a b c (Å): 6.926 6.926 6.926
angles (deg): 48.76 48.76 48.76
Positions (direct):
Sr1 0.203 0.203 0.203
Sr2 0.797 0.797 0.797
Cd1 0.000 0.000 0.000
P1 0.419 0.419 0.419
P2 0.581 0.581 0.581
N1 0.260 0.737 0.737
N2 0.263 0.263 0.740
N3 0.263 0.740 0.263
N4 0.737 0.260 0.737
N5 0.737 0.737 0.260
N6 0.740 0.263 0.263

Peak list (10 most intense, 10 to 90 degrees two-theta, low angle first)
2θ 18.57, intensity 29; 2θ 26.55, intensity 20; 2θ 30.41, intensity 100; 2θ 31.29, intensity 84; 2θ 41.49, intensity 19; 2θ 44.19, intensity 37; 2θ 53.47, intensity 18; 2θ 55.14, intensity 33; 2θ 55.69, intensity 16; 2θ 65.27, intensity 15


Entry 12:
The following is a calculated X-ray diffraction stick pattern of ThGaCu2. It was derived from a DFT-relaxed cell (GGA-PBE, Alexandria), using λ = 1.5418 Å (Cu Kα).
Peak positions follow from Bragg's law for the DFT cell and can differ from measured ones.

Cell and atoms:
a b c (Å): 8.953 8.953 4.244
angles (deg): 90.00 90.00 153.51
Positions (direct):
Th1 0.107 0.893 0.750
Th2 0.893 0.107 0.250
Ga1 0.325 0.675 0.750
Ga2 0.675 0.325 0.250
Cu1 0.252 0.748 0.250
Cu2 0.467 0.533 0.750
Cu3 0.533 0.467 0.250
Cu4 0.748 0.252 0.750

Peak list (10 most intense, 10 to 90 degrees two-theta, low angle first)
2θ 23.31, intensity 24; 2θ 30.75, intensity 37; 2θ 33.74, intensity 54; 2θ 34.09, intensity 100; 2θ 37.52, intensity 29; 2θ 42.61, intensity 28; 2θ 44.15, intensity 26; 2θ 46.87, intensity 19; 2θ 55.42, intensity 26; 2θ 63.03, intensity 17